(1)
For PmSmDy14, a structure optimized by DFT (PBE) gives the computed powder XRD pattern in this record (Cu Ka).
Lines closer than 0.1° are merged.

Peak list (12 most intense, 10° ≤ 2θ ≤ 90°, low angle first)
Position (°2θ)	d [Å]	intensity
28.89	3.091	8
29.94	2.985	42
31.14	2.872	34
32.91	2.722	100
37.39	2.405	23
49.43	1.844	10
51.19	1.784	26
56.54	1.628	21
61.15	1.516	30
62.21	1.492	16
84.67	1.145	14
87.12	1.119	12

Structural model:
Lattice parameters (Å, degrees): 11.4883 7.1357 7.1357 60.05 90.00 90.00
Sites, in units of the cell vectors:
Pm 0.0000 0.0000 0.0000
Sm 0.0000 0.5001 0.5001
Dy 0.0000 0.0002 0.5002
Dy 0.0000 0.5002 0.0002
Dy 0.2512 0.1671 0.1671
Dy 0.2510 0.6672 0.6672
Dy 0.2523 0.1668 0.6669
Dy 0.2523 0.6669 0.1668
Dy 0.5000 0.3336 0.3336
Dy 0.5000 0.3338 0.8339
Dy 0.5000 0.8339 0.3338
Dy 0.5000 0.8336 0.8336
Dy 0.7477 0.1668 0.6669
Dy 0.7477 0.6669 0.1668
Dy 0.7488 0.1671 0.1671
Dy 0.7490 0.6672 0.6672


(2)
For B2PtRh2, a structure optimized by DFT (PBE) gives the computed powder XRD pattern in this record (Cu Ka).
Lines closer than 0.1° are merged.

Peak list (12 most intense, 10° ≤ 2θ ≤ 90°, low angle first)
Position (°2θ)	d [Å]	intensity
20.06	4.427	24
33.11	2.705	38
33.33	2.689	24
38.47	2.340	100
38.63	2.331	98
38.73	2.325	92
38.93	2.314	62
52.14	1.754	32
59.42	1.555	36
70.38	1.338	32
72.76	1.300	21
73.22	1.293	25

Structural model:
Lattice parameters (Å, degrees): 5.4109 5.4109 5.5735 118.93 118.93 59.59
Sites, in units of the cell vectors:
B 0.2442 0.7558 0.5000
B 0.3935 0.8895 0.9276
B 0.7558 0.2442 0.0000
B 0.8895 0.3935 0.4276
Pt 0.3184 0.4605 0.7155
Pt 0.4605 0.3184 0.2155
Rh 0.1737 0.9633 0.2137
Rh 0.6755 0.8182 0.7140
Rh 0.8182 0.6755 0.2140
Rh 0.9633 0.1737 0.7137


(3)
For Dy3HfSi6, a structure optimized by DFT (PBE) gives the computed powder XRD pattern in this record (Cu Ka).
Lines closer than 0.1° are merged.

Peak list (12 most intense, 10° ≤ 2θ ≤ 90°, low angle first)
Position (°2θ)	d [Å]	intensity
18.57	4.779	77
25.85	3.446	26
29.16	3.062	48
29.48	3.030	47
32.31	2.771	41
34.66	2.588	100
37.52	2.397	96
37.64	2.389	85
50.13	1.820	24
55.69	1.650	23
55.88	1.645	25
60.20	1.537	30

Structural model:
Lattice parameters (Å, degrees): 7.3790 7.3790 7.3790 97.37 97.37 97.37
Sites, in units of the cell vectors:
Dy 0.1852 0.7500 0.3148
Dy 0.2500 0.6852 0.8148
Dy 0.3148 0.1852 0.7500
Dy 0.6852 0.8148 0.2500
Dy 0.7500 0.3148 0.1852
Dy 0.8148 0.2500 0.6852
Hf 0.0000 0.0000 0.0000
Hf 0.5000 0.5000 0.5000
Si 0.0164 0.0903 0.3750
Si 0.0903 0.3750 0.0164
Si 0.1250 0.4097 0.4836
Si 0.3750 0.0164 0.0903
Si 0.4097 0.4836 0.1250
Si 0.4836 0.1250 0.4097
Si 0.5164 0.8750 0.5903
Si 0.5903 0.5164 0.8750
Si 0.6250 0.9836 0.9097
Si 0.8750 0.5903 0.5164
Si 0.9097 0.6250 0.9836
Si 0.9836 0.9097 0.6250


(4)
For Ca4GaAg3, a structure optimized by DFT (PBE) gives the computed powder XRD pattern in this record (Cu Ka).
Lines closer than 0.1° are merged.

Peak list (12 most intense, 10° ≤ 2θ ≤ 90°, low angle first)
Position (°2θ)	d [Å]	intensity
15.41	5.750	45
23.51	3.784	53
24.57	3.624	18
30.41	2.939	82
32.32	2.770	19
36.71	2.448	54
37.77	2.382	100
38.58	2.334	36
45.26	2.004	22
45.67	1.986	18
59.63	1.550	25
60.95	1.520	34

Structural model:
Lattice parameters (Å, degrees): 4.0074 4.6674 11.4998 90.00 90.00 90.00
Sites, in units of the cell vectors:
Ca 0.0000 0.0000 0.0000
Ca 0.0000 0.5000 0.2851
Ca 0.5000 0.0000 0.4966
Ca 0.5000 0.5000 0.7870
Ga 0.5000 0.0000 0.2165
Ag 0.0000 0.0000 0.7176
Ag 0.0000 0.5000 0.5677
Ag 0.5000 0.5000 0.0734


(5)
For CaAc2Ir9, a structure optimized by DFT (PBE) gives the computed powder XRD pattern in this record (Cu Ka).
Lines closer than 0.1° are merged.

Peak list (12 most intense, 10° ≤ 2θ ≤ 90°, low angle first)
Position (°2θ)	d [Å]	intensity
19.12	4.642	32
32.67	2.741	20
32.92	2.721	25
38.34	2.347	33
38.69	2.327	100
40.15	2.246	21
40.56	2.224	20
41.54	2.174	35
41.84	2.159	56
45.09	2.011	27
62.65	1.483	25
69.04	1.360	31

Structural model:
Lattice parameters (Å, degrees): 9.5181 9.5181 9.5181 33.22 33.22 33.22
Sites, in units of the cell vectors:
Ca 0.0000 0.0000 0.0000
Ac 0.1381 0.1381 0.1381
Ac 0.8619 0.8619 0.8619
Ir 0.0847 0.5751 0.5751
Ir 0.3310 0.3310 0.3310
Ir 0.4249 0.4249 0.9153
Ir 0.4249 0.9153 0.4249
Ir 0.5000 0.5000 0.5000
Ir 0.5751 0.0847 0.5751
Ir 0.5751 0.5751 0.0847
Ir 0.6690 0.6690 0.6690
Ir 0.9153 0.4249 0.4249


(6)
For CeNi2S3, a structure optimized by DFT (PBE) gives the computed powder XRD pattern in this record (Cu Ka).
Lines closer than 0.1° are merged.

Peak list (12 most intense, 10° ≤ 2θ ≤ 90°, low angle first)
Position (°2θ)	d [Å]	intensity
13.65	6.486	46
22.81	3.898	76
26.84	3.322	26
27.51	3.243	100
32.61	2.746	96
33.18	2.700	36
39.18	2.299	50
40.50	2.227	67
43.38	2.086	29
46.89	1.938	28
51.30	1.781	25
55.36	1.660	56

Structural model:
Lattice parameters (Å, degrees): 6.7926 6.7926 4.8770 90.00 90.00 107.29
Sites, in units of the cell vectors:
Ce 0.2357 0.7643 0.7500
Ce 0.7643 0.2357 0.2500
Ni 0.3223 0.3223 0.0000
Ni 0.3223 0.3223 0.5000
Ni 0.6777 0.6777 0.0000
Ni 0.6777 0.6777 0.5000
S 0.0535 0.3393 0.7500
S 0.3393 0.0535 0.2500
S 0.3899 0.6101 0.2500
S 0.6101 0.3899 0.7500
S 0.6607 0.9465 0.7500
S 0.9465 0.6607 0.2500


Please write out number 5 again, unchanged.
For CaAc2Ir9, a structure optimized by DFT (PBE) gives the computed powder XRD pattern in this record (Cu Ka).
Lines closer than 0.1° are merged.

Peak list (12 most intense, 10° ≤ 2θ ≤ 90°, low angle first)
Position (°2θ)	d [Å]	intensity
19.12	4.642	32
32.67	2.741	20
32.92	2.721	25
38.34	2.347	33
38.69	2.327	100
40.15	2.246	21
40.56	2.224	20
41.54	2.174	35
41.84	2.159	56
45.09	2.011	27
62.65	1.483	25
69.04	1.360	31

Structural model:
Lattice parameters (Å, degrees): 9.5181 9.5181 9.5181 33.22 33.22 33.22
Sites, in units of the cell vectors:
Ca 0.0000 0.0000 0.0000
Ac 0.1381 0.1381 0.1381
Ac 0.8619 0.8619 0.8619
Ir 0.0847 0.5751 0.5751
Ir 0.3310 0.3310 0.3310
Ir 0.4249 0.4249 0.9153
Ir 0.4249 0.9153 0.4249
Ir 0.5000 0.5000 0.5000
Ir 0.5751 0.0847 0.5751
Ir 0.5751 0.5751 0.0847
Ir 0.6690 0.6690 0.6690
Ir 0.9153 0.4249 0.4249